Record 1
Diffraction record for Ho5Mg2In5. The XRD peak list is theoretical, not measured: it uses the PBE geometry in Alexandria and Cu Kα X-rays.
Peak positions follow from Bragg's law for the DFT cell and can differ from measured ones.

Peak list (10 most intense, 10 to 80 degrees two-theta, most intense first)
- 2θ = 32.96°, I 100
- 2θ = 34.31°, I 95
- 2θ = 33.08°, I 63
- 2θ = 35.92°, I 54
- 2θ = 49.63°, I 40
- 2θ = 35.76°, I 29
- 2θ = 19.58°, I 27
- 2θ = 63.52°, I 17
- 2θ = 62.69°, I 16
- 2θ = 60.74°, I 15

Structural model:
```
Ho5Mg2In5
1.0
5.812 -2.500 0.000
5.812 2.500 0.000
-4.497 0.000 10.832
Ho Mg In
5 2 5
direct
0.000 0.000 0.000
0.128 0.128 0.768
0.152 0.152 0.496
0.848 0.848 0.504
0.872 0.872 0.232
0.417 0.417 0.749
0.583 0.583 0.251
0.224 0.224 0.270
0.333 0.333 0.045
0.500 0.500 0.500
0.667 0.667 0.955
0.776 0.776 0.730
```

---

Record 2
Diffraction record for K7Au3. The XRD peak list is theoretical, not measured: it uses the PBE geometry in Alexandria and Cu Kα X-rays.
Peak positions follow from Bragg's law for the DFT cell and can differ from measured ones.

Peak list (10 most intense, 10 to 80 degrees two-theta, most intense first)
- 2θ = 31.82°, I 100
- 2θ = 18.22°, I 55
- 2θ = 14.85°, I 35
- 2θ = 56.70°, I 25
- 2θ = 63.34°, I 21
- 2θ = 45.63°, I 21
- 2θ = 36.91°, I 13
- 2θ = 35.29°, I 13
- 2θ = 44.27°, I 12
- 2θ = 49.52°, I 11

Structural model:
```
K7Au3
1.0
-5.965 5.965 5.965
5.965 -5.965 5.965
5.965 5.965 -5.965
K Au
14 6
direct
0.000 0.000 0.313
0.000 0.000 0.687
0.000 0.313 0.000
0.000 0.687 0.000
0.250 0.500 0.750
0.250 0.750 0.500
0.313 0.000 0.000
0.313 0.313 0.313
0.500 0.250 0.750
0.500 0.750 0.250
0.687 0.000 0.000
0.687 0.687 0.687
0.750 0.250 0.500
0.750 0.500 0.250
0.000 0.362 0.362
0.000 0.638 0.638
0.362 0.000 0.362
0.362 0.362 0.000
0.638 0.000 0.638
0.638 0.638 0.000
```